1.
Theoretical X-ray powder pattern of GdHgSeO for copper Kα, from DFT lattice parameters and positions (PBE).
Peak positions follow from Bragg's law for the DFT cell and can differ from measured ones.

Cell and atoms:
abc: 5.7109 5.7230 11.6210
angles: 90.00 92.16 90.00
Fractional coordinates of all 16 atoms:
1 Gd 0.0047 0.0000 0.0922
2 Gd 0.4940 0.0010 0.9056
3 Gd 0.5060 0.5010 0.0944
4 Gd 0.9953 0.5000 0.9078
5 Hg 0.2114 0.7725 0.4957
6 Hg 0.4966 0.0323 0.3141
7 Hg 0.5034 0.5323 0.6859
8 Hg 0.7886 0.2725 0.5043
9 Se 0.1799 0.3345 0.2767
10 Se 0.1973 0.2230 0.7142
11 Se 0.8027 0.7230 0.2858
12 Se 0.8201 0.8345 0.7233
13 O 0.2504 0.7488 0.0000
14 O 0.2548 0.2476 0.9993
15 O 0.7452 0.7476 0.0007
16 O 0.7496 0.2488 0.0000

Top 12 peaks for 2θ = 10–90°, in order of falling intensity:
Position (°2θ), I_rel
27.2, 100
26.5, 91
31.6, 54
44.9, 52
32.5, 41
38.8, 38
32.2, 28
44.5, 26
59.9, 21
23.1, 18
52.8, 18
61.6, 15


2.
Theoretical X-ray powder pattern of Cu2Ag for copper Kα, from DFT lattice parameters and positions (PBE).
Peak positions follow from Bragg's law for the DFT cell and can differ from measured ones.

Cell and atoms:
abc: 16.5775 16.5775 16.5775
angles: 170.46 170.46 13.51
Fractional coordinates of all 9 atoms:
1 Cu 0.0000 0.0000 0.0000
2 Cu 0.0976 0.0976 0.0000
3 Cu 0.2156 0.2156 0.0000
4 Cu 0.3326 0.3326 0.0000
5 Cu 0.5490 0.5490 0.0000
6 Cu 0.8809 0.8809 0.0000
7 Ag 0.4404 0.4404 0.0000
8 Ag 0.6567 0.6567 0.0000
9 Ag 0.7741 0.7741 0.0000

Top 12 peaks for 2θ = 10–90°, in order of falling intensity:
Position (°2θ), I_rel
41.0, 100
46.6, 36
82.6, 23
70.6, 16
49.9, 12
68.0, 11
88.9, 8
87.5, 7
32.6, 4
35.3, 3
74.7, 2
33.5, 2


3.
Theoretical X-ray powder pattern of ZrTlAu3S4 for copper Kα, from DFT lattice parameters and positions (PBE).
Peak positions follow from Bragg's law for the DFT cell and can differ from measured ones.

Cell and atoms:
abc: 5.8347 7.7090 10.3789
angles: 90.00 102.54 90.00
Fractional coordinates of all 18 atoms:
1 Zr 0.1097 0.2500 0.2922
2 Zr 0.8903 0.7500 0.7078
3 Tl 0.1817 0.2500 0.8756
4 Tl 0.8183 0.7500 0.1244
5 Au 0.3361 0.5590 0.5771
6 Au 0.3361 0.9410 0.5771
7 Au 0.4788 0.7500 0.8369
8 Au 0.5212 0.2500 0.1631
9 Au 0.6639 0.0590 0.4229
10 Au 0.6639 0.4410 0.4229
11 S 0.0081 0.7500 0.4829
12 S 0.1409 0.7500 0.9270
13 S 0.3310 0.5112 0.2526
14 S 0.3310 0.9888 0.2526
15 S 0.6690 0.0112 0.7474
16 S 0.6690 0.4888 0.7474
17 S 0.8591 0.2500 0.0730
18 S 0.9919 0.2500 0.5171

Top 12 peaks for 2θ = 10–90°, in order of falling intensity:
Position (°2θ), I_rel
24.7, 100
19.8, 98
35.0, 63
33.7, 62
14.4, 58
43.7, 46
32.6, 41
38.4, 38
19.5, 38
28.5, 34
49.9, 34
41.0, 33